Entry 1:
The following is a simulated powder diffractogram of LiAlSiH2O5. It was derived from a structure optimized by DFT (PBE), using CuKα.
No peak broadening, texture or thermal motion is included.

Principal peaks in the range 5° ≤ 2θ ≤ 70°, sorted by position:
2θ 15.2, I 1000
2θ 19.9, I 577
2θ 21.3, I 159
2θ 25.1, I 719
2θ 25.4, I 345
2θ 40.2, I 195

Cell and atoms:
```
LiAlSiH2O5
1.0
11.6589 0.0000 0.0000
0.0000 8.1819 0.0000
0.0000 0.0000 5.3329
Li Al Si H O
4 4 4 8 20
direct
0.0913 0.0229 0.0000 Li
0.4087 0.5229 0.5000 Li
0.5913 0.4771 0.0000 Li
0.9087 0.9771 0.5000 Li
0.2127 0.6569 0.7839 Al
0.2873 0.1569 0.2839 Al
0.7127 0.8431 0.7839 Al
0.7873 0.3431 0.2839 Al
0.2070 0.4352 0.2627 Si
0.2930 0.9352 0.7627 Si
0.7070 0.0648 0.2627 Si
0.7930 0.5648 0.7627 Si
0.0337 0.7632 0.2281 H
0.0938 0.8634 0.4478 H
0.4062 0.3634 0.9478 H
0.4663 0.2632 0.7281 H
0.5337 0.7368 0.2281 H
0.5938 0.6366 0.4478 H
0.9062 0.1366 0.9478 H
0.9663 0.2368 0.7281 H
0.0412 0.8742 0.2965 O
0.1475 0.2544 0.3041 O
0.1583 0.5502 0.0393 O
0.1575 0.8618 0.7178 O
0.2209 0.5404 0.5171 O
0.2791 0.0404 0.0171 O
0.3417 0.0502 0.5393 O
0.3425 0.3618 0.2178 O
0.3525 0.7544 0.8041 O
0.4588 0.3742 0.7965 O
0.5412 0.6258 0.2965 O
0.6475 0.2456 0.3041 O
0.6575 0.6382 0.7178 O
0.6583 0.9498 0.0393 O
0.7209 0.9596 0.5171 O
0.7791 0.4596 0.0171 O
0.8425 0.1382 0.2178 O
0.8417 0.4498 0.5393 O
0.8525 0.7456 0.8041 O
0.9588 0.1258 0.7965 O
```


Entry 2:
The following is a simulated powder diffractogram of LiAlSiH2O5. It was derived from a structure optimized by DFT (PBE), using CuKα.
No peak broadening, texture or thermal motion is included.

Principal peaks in the range 5° ≤ 2θ ≤ 70°, sorted by position:
2θ 13.9, I 590
2θ 20.1, I 344
2θ 20.6, I 1000
2θ 27.6, I 740
2θ 29.6, I 446
2θ 35.1, I 385

Cell and atoms:
```
LiAlSiH2O5
1.0
10.6157 0.0000 0.0000
0.0000 7.9991 0.0000
0.0000 0.0000 5.1203
Li Al Si H O
4 4 4 8 20
direct
0.1855 0.1576 0.0000 Li
0.3145 0.6576 0.5000 Li
0.6855 0.3424 0.0000 Li
0.8145 0.8424 0.5000 Li
0.1610 0.5667 0.9965 Al
0.3390 0.0667 0.4965 Al
0.6610 0.9333 0.9965 Al
0.8390 0.4333 0.4965 Al
0.1318 0.3534 0.4969 Si
0.3682 0.8534 0.9969 Si
0.6318 0.1466 0.4969 Si
0.8682 0.6466 0.9969 Si
0.0341 0.9605 0.5807 H
0.0533 0.8895 0.0971 H
0.4467 0.3895 0.5971 H
0.4659 0.4605 0.0807 H
0.5341 0.5395 0.5807 H
0.5533 0.6105 0.0971 H
0.9467 0.1105 0.5971 H
0.9659 0.0395 0.0807 H
0.0192 0.6773 0.0463 O
0.0532 0.0126 0.1224 O
0.1649 0.3799 0.1852 O
0.1774 0.5196 0.6609 O
0.2105 0.1903 0.6064 O
0.2895 0.6903 0.1064 O
0.3226 0.0196 0.1609 O
0.3351 0.8799 0.6852 O
0.4468 0.5126 0.6224 O
0.4808 0.1773 0.5463 O
0.5192 0.8227 0.0463 O
0.5532 0.4874 0.1224 O
0.6649 0.1201 0.1852 O
0.6774 0.9804 0.6609 O
0.7105 0.3097 0.6064 O
0.7895 0.8097 0.1064 O
0.8226 0.4804 0.1609 O
0.8351 0.6201 0.6852 O
0.9468 0.9874 0.6224 O
0.9808 0.3227 0.5463 O
```